Entry 1:
# Pr8Bi4Te3
Simulated X-ray diffraction stick pattern, Cu Ka. Input: the PBE geometry in Alexandria.

Cell: 12.886 12.901 9.092 Å, 90.00 134.79 90.00°
Space group C2/m (No. 12)
Symmetry-distinct sites (fractional):
Pr 0.000 0.249 0.000 (multiplicity 4)
Pr 0.000 0.249 0.500 (multiplicity 4)
Pr 0.247 0.000 0.001 (multiplicity 4)
Pr 0.249 0.500 0.499 (multiplicity 4)
Bi 0.000 0.000 0.500 (multiplicity 2)
Bi 0.000 0.500 0.000 (multiplicity 2)
Bi 0.250 0.250 0.000 (multiplicity 4)
Te 0.000 0.500 0.500 (multiplicity 2)
Te 0.250 0.250 0.500 (multiplicity 4)

Largest 10 diffraction maxima, by intensity, 10 to 80 degrees two-theta:
2θ (°)  intensity
27.67  100
39.47  39
39.54  26
64.63  25
48.82  14
49.03  14
71.56  14
57.13  13
39.65  13
71.80  9

---

Entry 2:
# Pr2ThBi2Te2
Simulated X-ray diffraction stick pattern, Cu Ka. Input: the PBE geometry in Alexandria.

Cell: 6.126 6.126 15.675 Å, 90.00 90.00 90.00°
Space group I4/mmm (No. 139)
Symmetry-distinct sites (fractional):
Pr 0.000 0.000 0.115 (multiplicity 4)
Th 0.000 0.000 0.500 (multiplicity 2)
Bi 0.000 0.500 0.000 (multiplicity 4)
Te 0.000 0.000 0.304 (multiplicity 4)

Largest 10 diffraction maxima, by intensity, 10 to 80 degrees two-theta:
2θ (°)  intensity
29.16  100
11.29  70
32.07  59
43.89  50
41.71  38
23.47  31
31.36  28
30.77  22
20.50  21
45.64  19

---

Entry 3:
# Pr2Th2Bi5
Simulated X-ray diffraction stick pattern, Cu Ka. Input: the PBE geometry in Alexandria.

Cell: 16.302 8.584 8.642 Å, 90.00 90.00 90.00°
Space group Cmce (No. 64)
Symmetry-distinct sites (fractional):
Pr 0.000 0.153 0.155 (multiplicity 8)
Th 0.193 0.000 0.500 (multiplicity 8)
Bi 0.000 0.000 0.500 (multiplicity 4)
Bi 0.143 0.156 0.846 (multiplicity 16)

Largest 10 diffraction maxima, by intensity, 10 to 80 degrees two-theta:
2θ (°)  intensity
28.36  100
32.00  73
33.26  68
33.44  67
29.33  47
31.11  47
32.97  42
60.49  42
25.62  27
30.19  26

---

Entry 4:
# PrThBi2
Simulated X-ray diffraction stick pattern, Cu Ka. Input: the PBE geometry in Alexandria.

Cell: 6.531 6.531 13.055 Å, 90.00 90.00 90.00°
Space group I4_1/amd (No. 141, origin choice 2)
Symmetry-distinct sites (fractional):
Pr 0.000 0.250 0.375 (multiplicity 4)
Th 0.000 0.250 0.875 (multiplicity 4)
Bi 0.000 0.250 0.124 (multiplicity 8)

Largest 10 diffraction maxima, by intensity, 10 to 80 degrees two-theta:
2θ (°)  intensity
27.32  100
39.02  79
63.74  39
48.28  29
70.68  29
56.36  14
15.17  3
31.39  1
37.08  1
46.66  1

---

Repeat the first record exactly.
# Pr8Bi4Te3
Simulated X-ray diffraction stick pattern, Cu Ka. Input: the PBE geometry in Alexandria.

Cell: 12.886 12.901 9.092 Å, 90.00 134.79 90.00°
Space group C2/m (No. 12)
Symmetry-distinct sites (fractional):
Pr 0.000 0.249 0.000 (multiplicity 4)
Pr 0.000 0.249 0.500 (multiplicity 4)
Pr 0.247 0.000 0.001 (multiplicity 4)
Pr 0.249 0.500 0.499 (multiplicity 4)
Bi 0.000 0.000 0.500 (multiplicity 2)
Bi 0.000 0.500 0.000 (multiplicity 2)
Bi 0.250 0.250 0.000 (multiplicity 4)
Te 0.000 0.500 0.500 (multiplicity 2)
Te 0.250 0.250 0.500 (multiplicity 4)

Largest 10 diffraction maxima, by intensity, 10 to 80 degrees two-theta:
2θ (°)  intensity
27.67  100
39.47  39
39.54  26
64.63  25
48.82  14
49.03  14
71.56  14
57.13  13
39.65  13
71.80  9